This entry pairs a crystal structure of LaSm2OsN4 with its calculated X-ray powder pattern. Radiation: copper Kα. Structure: a crystal structure in Alexandria, relaxed with PBE.

Crystal structure
Cell: 3.5095 12.0081 11.9940 Å, 90.00 90.00 90.00°
Space group Cmcm (No. 63)
Inequivalent atoms, fractional coordinates:
La1 0.0000 0.1160 0.2500 [4 per cell]
Sm1 0.0000 0.3683 0.0415 [8 per cell]
Os1 0.0000 0.1492 0.7500 [4 per cell]
N1 0.0000 0.0000 0.0000 [4 per cell]
N2 0.0000 0.2694 0.6317 [8 per cell]
N3 0.0000 0.4296 0.2500 [4 per cell]

Largest 8 diffraction maxima, by intensity, 2θ from 10° to 80°:
h k l, 2θ (°), I_rel
0 4 0, 29.8, 100
1 3 2, 37.2, 96
1 1 2, 30.4, 94
0 4 4, 42.6, 29
1 1 3, 34.8, 27
2 4 0, 61.2, 27
1 5 3, 51.5, 25
0 2 1, 16.5, 24